Record 1
Computed powder X-ray diffraction pattern of Tb5Ir4Pd for Cu Kα X-rays, from the PBE geometry in Alexandria.
Lines closer than 0.1° are merged.

Principal peaks in the range 10° ≤ 2θ ≤ 80°, in order of rising 2θ:
2θ = 10.01°, intensity 2, (0 0 2)
2θ = 15.04°, intensity 1, (0 0 3)
2θ = 36.54°, intensity 100, (1 0 5)
2θ = 37.13°, intensity 48, (1 1 0)
2θ = 51.73°, intensity 9, (0 0 10)
2θ = 53.52°, intensity 17, (2 0 0)
2θ = 65.38°, intensity 18, (1 1 10)
2θ = 66.55°, intensity 35, (2 1 5)
2θ = 77.65°, intensity 11, (2 0 10)
2θ = 79.10°, intensity 5, (2 2 0)

Cell and atoms:
```
data_Tb5Ir4Pd
_chemical_formula_sum 'Tb5 Ir4 Pd1'
_space_group_name_H-M_alt 'P 4/m m m'
_space_group_IT_number 123
_space_group_name_Hall '-P 4 2'
_cell_length_a 3.424
_cell_length_b 3.424
_cell_length_c 17.672
_cell_angle_alpha 90.00
_cell_angle_beta 90.00
_cell_angle_gamma 90.00
loop_
_atom_site_label
_atom_site_fract_x
_atom_site_fract_y
_atom_site_fract_z
_atom_site_occupancy
Tb1 0.000 0.000 0.000 1
Tb2 0.000 0.000 0.198 1
Tb3 0.000 0.000 0.395 1
Ir1 0.500 0.500 0.099 1
Ir2 0.500 0.500 0.299 1
Pd1 0.500 0.500 0.500 1
```

***

Record 2
Computed powder X-ray diffraction pattern of Tb6Ir5Pd for Cu Kα X-rays, from the PBE geometry in Alexandria.
Lines closer than 0.1° are merged.

Principal peaks in the range 10° ≤ 2θ ≤ 80°, in order of rising 2θ:
2θ = 12.24°, intensity 1, (0 2 0)
2θ = 12.47°, intensity 1, (0 0 1)
2θ = 36.55°, intensity 100, (1 3 2)
2θ = 37.32°, intensity 47, (2 0 0)
2θ = 51.48°, intensity 9, (0 0 4)
2θ = 53.80°, intensity 17, (2 6 0)
2θ = 65.29°, intensity 19, (2 0 4)
2θ = 66.80°, intensity 35, (3 3 2)
2θ = 77.68°, intensity 11, (2 6 4)
2θ = 79.57°, intensity 5, (4 0 0)

Cell and atoms:
```
data_Tb6Ir5Pd
_chemical_formula_sum 'Tb12 Ir10 Pd2'
_space_group_name_H-M_alt 'C m m m'
_space_group_IT_number 65
_space_group_name_Hall '-C 2 2'
_cell_length_a 4.819
_cell_length_b 14.458
_cell_length_c 7.101
_cell_angle_alpha 90.00
_cell_angle_beta 90.00
_cell_angle_gamma 90.00
loop_
_atom_site_label
_atom_site_fract_x
_atom_site_fract_y
_atom_site_fract_z
_atom_site_occupancy
Tb1 0.000 0.000 0.246 1
Tb2 0.000 0.331 0.249 1
Ir1 0.000 0.165 0.500 1
Ir2 0.000 0.167 0.000 1
Ir3 0.000 0.500 0.000 1
Pd1 0.000 0.500 0.500 1
```

***

Record 3
Computed powder X-ray diffraction pattern of TbYIrPd for Cu Kα X-rays, from the PBE geometry in Alexandria.
Lines closer than 0.1° are merged.

Principal peaks in the range 10° ≤ 2θ ≤ 80°, in order of rising 2θ:
2θ = 22.15°, intensity 8, (1 1 1)
2θ = 25.63°, intensity 1, (2 0 0)
2θ = 36.56°, intensity 100, (2 2 0)
2θ = 43.16°, intensity 5, (3 1 1)
2θ = 52.67°, intensity 18, (4 0 0)
2θ = 57.82°, intensity 2, (3 3 1)
2θ = 65.82°, intensity 36, (4 2 2)
2θ = 70.38°, intensity 2, (5 1 1)
2θ = 77.72°, intensity 11, (4 4 0)

Cell and atoms:
```
data_TbYIrPd
_chemical_formula_sum 'Tb4 Y4 Ir4 Pd4'
_space_group_name_H-M_alt 'F -4 3 m'
_space_group_IT_number 216
_space_group_name_Hall 'F -4 2 3'
_cell_length_a 6.951
_cell_length_b 6.951
_cell_length_c 6.951
_cell_angle_alpha 90.00
_cell_angle_beta 90.00
_cell_angle_gamma 90.00
loop_
_atom_site_label
_atom_site_fract_x
_atom_site_fract_y
_atom_site_fract_z
_atom_site_occupancy
Tb1 0.000 0.000 0.000 1
Y1 0.000 0.000 0.500 1
Ir1 0.250 0.250 0.750 1
Pd1 0.250 0.250 0.250 1
```

***

Record 4
Computed powder X-ray diffraction pattern of TbZrIrPd for Cu Kα X-rays, from the PBE geometry in Alexandria.
Lines closer than 0.1° are merged.

Principal peaks in the range 10° ≤ 2θ ≤ 80°, in order of rising 2θ:
2θ = 22.65°, intensity 8, (1 1 1)
2θ = 26.21°, intensity 1, (2 0 0)
2θ = 37.40°, intensity 100, (2 2 0)
2θ = 44.17°, intensity 5, (3 1 1)
2θ = 53.93°, intensity 17, (4 0 0)
2θ = 59.23°, intensity 2, (3 3 1)
2θ = 67.47°, intensity 35, (4 2 2)
2θ = 72.18°, intensity 2, (5 1 1)
2θ = 79.78°, intensity 11, (4 4 0)

Cell and atoms:
```
data_TbZrIrPd
_chemical_formula_sum 'Tb4 Zr4 Ir4 Pd4'
_space_group_name_H-M_alt 'F -4 3 m'
_space_group_IT_number 216
_space_group_name_Hall 'F -4 2 3'
_cell_length_a 6.800
_cell_length_b 6.800
_cell_length_c 6.800
_cell_angle_alpha 90.00
_cell_angle_beta 90.00
_cell_angle_gamma 90.00
loop_
_atom_site_label
_atom_site_fract_x
_atom_site_fract_y
_atom_site_fract_z
_atom_site_occupancy
Tb1 0.000 0.000 0.000 1
Zr1 0.000 0.000 0.500 1
Ir1 0.250 0.250 0.250 1
Pd1 0.250 0.250 0.750 1
```

***

Record 5
Computed powder X-ray diffraction pattern of Th6Ir5Pd for Cu Kα X-rays, from the PBE geometry in Alexandria.
Lines closer than 0.1° are merged.

Principal peaks in the range 10° ≤ 2θ ≤ 80°, in order of rising 2θ:
2θ = 14.89°, intensity 1, (1 1 0)
2θ = 26.37°, intensity 2, (0 0 2)
2θ = 30.52°, intensity 100, (2 0 -2)
2θ = 43.65°, intensity 38, (2 0 2)
2θ = 43.76°, intensity 38, (1 3 -3)
2θ = 54.10°, intensity 7, (4 0 0)
2θ = 54.29°, intensity 20, (0 0 4)
2θ = 63.52°, intensity 13, (4 0 -4)
2θ = 72.03°, intensity 17, (5 3 -3)
2θ = 72.18°, intensity 17, (3 3 -5)

Cell and atoms:
```
data_Th6Ir5Pd
_chemical_formula_sum 'Th12 Ir10 Pd2'
_space_group_name_H-M_alt 'C 1 2/m 1'
_space_group_IT_number 12
_cell_length_a 7.190
_cell_length_b 12.408
_cell_length_c 7.169
_cell_angle_alpha 90.00
_cell_angle_beta 109.44
_cell_angle_gamma 90.00
loop_
_space_group_symop_operation_xyz
'x,y,z'
'-x,-y,-z'
'-x,y,-z'
'x,-y,z'
'x+1/2,y+1/2,z'
'-x+1/2,-y+1/2,-z'
'-x+1/2,y+1/2,-z'
'x+1/2,-y+1/2,z'
loop_
_atom_site_label
_atom_site_fract_x
_atom_site_fract_y
_atom_site_fract_z
_atom_site_occupancy
Th1 0.241 0.000 0.252 1
Th2 0.243 0.171 0.744 1
Ir1 0.000 0.000 0.500 1
Ir2 0.000 0.168 0.000 1
Ir3 0.000 0.337 0.500 1
Pd1 0.000 0.500 0.000 1
```

***

Record 6
Computed powder X-ray diffraction pattern of YThIrPd for Cu Kα X-rays, from the PBE geometry in Alexandria.
Lines closer than 0.1° are merged.

Principal peaks in the range 10° ≤ 2θ ≤ 80°, in order of rising 2θ:
2θ = 15.74°, intensity 35, (0 0 2)
2θ = 31.78°, intensity 36, (0 0 4)
2θ = 32.26°, intensity 100, (1 1 1)
2θ = 38.34°, intensity 16, (1 0 4)
2θ = 39.59°, intensity 72, (1 1 3)
2θ = 42.51°, intensity 24, (2 0 0)
2θ = 46.93°, intensity 18, (0 2 0)
2θ = 54.04°, intensity 16, (2 0 4)
2θ = 57.80°, intensity 13, (0 2 4)
2θ = 65.16°, intensity 13, (2 2 0)

Cell and atoms:
```
data_YThIrPd
_chemical_formula_sum 'Y2 Th2 Ir2 Pd2'
_space_group_name_H-M_alt 'A m m 2'
_space_group_IT_number 38
_cell_length_a 4.253
_cell_length_b 3.872
_cell_length_c 11.264
_cell_angle_alpha 90.00
_cell_angle_beta 90.00
_cell_angle_gamma 90.00
loop_
_space_group_symop_operation_xyz
'x,y,z'
'-x,-y,z'
'-x,y,z'
'x,-y,z'
'x,y+1/2,z+1/2'
'-x,-y+1/2,z+1/2'
'-x,y+1/2,z+1/2'
'x,-y+1/2,z+1/2'
loop_
_atom_site_label
_atom_site_fract_x
_atom_site_fract_y
_atom_site_fract_z
_atom_site_occupancy
Y1 0.000 0.000 0.000 1
Th1 0.500 0.000 0.277 1
Ir1 0.000 0.000 0.738 1
Pd1 0.500 0.000 0.554 1
```

***

Record 7
Computed powder X-ray diffraction pattern of Ti3IrPd3 for Cu Kα X-rays, from the PBE geometry in Alexandria.
Lines closer than 0.1° are merged.

Principal peaks in the range 10° ≤ 2θ ≤ 80°, in order of rising 2θ:
2θ = 17.85°, intensity 68, (1 1 0)
2θ = 26.25°, intensity 40, (1 1 -2)
2θ = 28.56°, intensity 42, (2 0 0)
2θ = 29.76°, intensity 56, (0 2 2)
2θ = 36.33°, intensity 66, (1 1 3)
2θ = 37.06°, intensity 79, (1 3 -1)
2θ = 40.66°, intensity 55, (2 2 -2)
2θ = 40.94°, intensity 100, (1 3 -2)
2θ = 42.74°, intensity 96, (2 2 2)
2θ = 44.89°, intensity 39, (3 1 0)

Cell and atoms:
```
data_Ti3IrPd3
_chemical_formula_sum 'Ti12 Ir4 Pd12'
_space_group_name_H-M_alt 'C 1 2/m 1'
_space_group_IT_number 12
_cell_length_a 6.266
_cell_length_b 8.191
_cell_length_c 8.852
_cell_angle_alpha 90.00
_cell_angle_beta 94.00
_cell_angle_gamma 90.00
loop_
_space_group_symop_operation_xyz
'x,y,z'
'-x,-y,-z'
'-x,y,-z'
'x,-y,z'
'x+1/2,y+1/2,z'
'-x+1/2,-y+1/2,-z'
'-x+1/2,y+1/2,-z'
'x+1/2,-y+1/2,z'
loop_
_atom_site_label
_atom_site_fract_x
_atom_site_fract_y
_atom_site_fract_z
_atom_site_occupancy
Ti1 0.173 0.196 0.273 1
Ti2 0.229 0.000 0.961 1
Ir1 0.030 0.500 0.776 1
Pd1 0.000 0.254 0.000 1
Pd2 0.000 0.326 0.500 1
Pd3 0.135 0.000 0.627 1
```

***

Record 8
Computed powder X-ray diffraction pattern of Tm4Ir2Pd for Cu Kα X-rays, from the PBE geometry in Alexandria.
Lines closer than 0.1° are merged.

Principal peaks in the range 10° ≤ 2θ ≤ 80°, in order of rising 2θ:
2θ = 11.37°, intensity 4, (0 0 3)
2θ = 22.79°, intensity 25, (0 0 6)
2θ = 26.37°, intensity 6, (1 0 4)
2θ = 37.58°, intensity 100, (1 1 0)
2θ = 37.70°, intensity 98, (0 1 8)
2θ = 44.43°, intensity 11, (1 1 6)
2θ = 54.29°, intensity 35, (2 0 8)
2θ = 67.88°, intensity 53, (3 0 0)
2θ = 68.14°, intensity 17, (1 0 16)
2θ = 72.65°, intensity 3, (3 0 6)

Cell and atoms:
```
data_Tm4Ir2Pd
_chemical_formula_sum 'Tm12 Ir6 Pd3'
_space_group_name_H-M_alt 'R -3 m'
_space_group_IT_number 166
_space_group_name_Hall '-R 3 2"'
_cell_length_a 4.7864
_cell_length_b 4.7864
_cell_length_c 23.3415
_cell_angle_alpha 90.00
_cell_angle_beta 90.00
_cell_angle_gamma 120.00
loop_
_atom_site_label
_atom_site_fract_x
_atom_site_fract_y
_atom_site_fract_z
_atom_site_occupancy
Tm1 0.0000 0.0000 0.1225 1
Tm2 0.0000 0.0000 0.3730 1
Ir1 0.0000 0.0000 0.2495 1
Pd1 0.0000 0.0000 0.5000 1
```

***

Record 9
Computed powder X-ray diffraction pattern of Tm7Ir2Pd2 for Cu Kα X-rays, from the PBE geometry in Alexandria.
Lines closer than 0.1° are merged.

Principal peaks in the range 10° ≤ 2θ ≤ 80°, in order of rising 2θ:
2θ = 25.34°, intensity 46, (2 0 1)
2θ = 27.83°, intensity 25, (2 2 0)
2θ = 29.62°, intensity 24, (1 1 2)
2θ = 34.16°, intensity 17, (2 0 2)
2θ = 34.86°, intensity 47, (0 4 0)
2θ = 38.50°, intensity 100, (2 2 2)
2θ = 38.77°, intensity 30, (1 3 2)
2θ = 44.21°, intensity 25, (4 0 0)
2θ = 57.50°, intensity 20, (4 4 0)
2θ = 64.93°, intensity 17, (2 6 2)

Cell and atoms:
```
data_Tm7Ir2Pd2
_chemical_formula_sum 'Tm14 Ir4 Pd4'
_space_group_name_H-M_alt 'C m m m'
_space_group_IT_number 65
_space_group_name_Hall '-C 2 2'
_cell_length_a 8.195
_cell_length_b 10.295
_cell_length_c 6.837
_cell_angle_alpha 90.00
_cell_angle_beta 90.00
_cell_angle_gamma 90.00
loop_
_atom_site_label
_atom_site_fract_x
_atom_site_fract_y
_atom_site_fract_z
_atom_site_occupancy
Tm1 0.000 0.000 0.000 1
Tm2 0.000 0.500 0.253 1
Tm3 0.250 0.250 0.257 1
Ir1 0.000 0.281 0.000 1
Pd1 0.213 0.000 0.500 1
```

***

Record 10
Computed powder X-ray diffraction pattern of Y6Ir5Pd for Cu Kα X-rays, from the PBE geometry in Alexandria.
Lines closer than 0.1° are merged.

Principal peaks in the range 10° ≤ 2θ ≤ 80°, in order of rising 2θ:
2θ = 25.08°, intensity 6, (0 0 2)
2θ = 26.23°, intensity 12, (1 3 0)
2θ = 36.61°, intensity 100, (1 3 2)
2θ = 37.43°, intensity 47, (2 0 0)
2θ = 45.59°, intensity 6, (2 0 2)
2θ = 51.48°, intensity 9, (0 0 4)
2θ = 53.97°, intensity 16, (2 6 0)
2θ = 65.36°, intensity 18, (2 0 4)
2θ = 66.99°, intensity 34, (3 3 2)
2θ = 77.82°, intensity 11, (2 6 4)

Cell and atoms:
```
data_Y6Ir5Pd
_chemical_formula_sum 'Y12 Ir10 Pd2'
_space_group_name_H-M_alt 'C m m m'
_space_group_IT_number 65
_space_group_name_Hall '-C 2 2'
_cell_length_a 4.804
_cell_length_b 14.418
_cell_length_c 7.101
_cell_angle_alpha 90.00
_cell_angle_beta 90.00
_cell_angle_gamma 90.00
loop_
_atom_site_label
_atom_site_fract_x
_atom_site_fract_y
_atom_site_fract_z
_atom_site_occupancy
Y1 0.000 0.000 0.246 1
Y2 0.000 0.331 0.249 1
Ir1 0.000 0.165 0.500 1
Ir2 0.000 0.167 0.000 1
Ir3 0.000 0.500 0.000 1
Pd1 0.000 0.500 0.500 1
```

***

Record 11
Computed powder X-ray diffraction pattern of Zn5IrPd6 for Cu Kα X-rays, from the PBE geometry in Alexandria.
Lines closer than 0.1° are merged.

Principal peaks in the range 10° ≤ 2θ ≤ 80°, in order of rising 2θ:
2θ = 14.60°, intensity 6, (0 0 2)
2θ = 40.50°, intensity 100, (1 2 3)
2θ = 44.03°, intensity 20, (2 0 0)
2θ = 44.85°, intensity 19, (0 0 6)
2θ = 52.15°, intensity 12, (0 4 0)
2θ = 64.66°, intensity 12, (2 0 6)
2θ = 70.58°, intensity 9, (2 4 0)
2θ = 71.18°, intensity 8, (0 4 6)
2θ = 78.57°, intensity 15, (3 2 3)
2θ = 79.73°, intensity 12, (1 2 9)

Cell and atoms:
```
data_Zn5IrPd6
_chemical_formula_sum 'Zn10 Ir2 Pd12'
_space_group_name_H-M_alt 'I m m m'
_space_group_IT_number 71
_space_group_name_Hall '-I 2 2'
_cell_length_a 4.113
_cell_length_b 7.016
_cell_length_c 12.125
_cell_angle_alpha 90.00
_cell_angle_beta 90.00
_cell_angle_gamma 90.00
loop_
_atom_site_label
_atom_site_fract_x
_atom_site_fract_y
_atom_site_fract_z
_atom_site_occupancy
Zn1 0.000 0.000 0.000 1
Zn2 0.000 0.000 0.349 1
Zn3 0.000 0.500 0.325 1
Ir1 0.000 0.500 0.000 1
Pd1 0.000 0.235 0.169 1
Pd2 0.000 0.272 0.500 1
```

***

Record 12
Computed powder X-ray diffraction pattern of Zr4IrPd for Cu Kα X-rays, from the PBE geometry in Alexandria.
Lines closer than 0.1° are merged.

Principal peaks in the range 10° ≤ 2θ ≤ 80°, in order of rising 2θ:
2θ = 13.35°, intensity 23, (1 0 0)
2θ = 18.93°, intensity 51, (1 1 0)
2θ = 34.25°, intensity 100, (2 1 1)
2θ = 37.53°, intensity 77, (1 1 2)
2θ = 38.40°, intensity 31, (2 2 0)
2θ = 42.36°, intensity 74, (2 0 2)
2θ = 43.15°, intensity 79, (3 1 0)
2θ = 58.62°, intensity 20, (2 1 3)
2θ = 65.51°, intensity 25, (4 0 2)
2θ = 68.88°, intensity 36, (3 3 2)

Cell and atoms:
```
data_Zr4IrPd
_chemical_formula_sum 'Zr8 Ir2 Pd2'
_space_group_name_H-M_alt 'P 4/m c c'
_space_group_IT_number 124
_space_group_name_Hall '-P 4 2c'
_cell_length_a 6.630
_cell_length_b 6.630
_cell_length_c 5.576
_cell_angle_alpha 90.00
_cell_angle_beta 90.00
_cell_angle_gamma 90.00
loop_
_atom_site_label
_atom_site_fract_x
_atom_site_fract_y
_atom_site_fract_z
_atom_site_occupancy
Zr1 0.157 0.333 0.000 1
Ir1 0.000 0.000 0.250 1
Pd1 0.500 0.500 0.250 1
```

***

What did the eighth record say?
Computed powder X-ray diffraction pattern of Tm4Ir2Pd for Cu Kα X-rays, from the PBE geometry in Alexandria.
Lines closer than 0.1° are merged.

Principal peaks in the range 10° ≤ 2θ ≤ 80°, in order of rising 2θ:
2θ = 11.37°, intensity 4, (0 0 3)
2θ = 22.79°, intensity 25, (0 0 6)
2θ = 26.37°, intensity 6, (1 0 4)
2θ = 37.58°, intensity 100, (1 1 0)
2θ = 37.70°, intensity 98, (0 1 8)
2θ = 44.43°, intensity 11, (1 1 6)
2θ = 54.29°, intensity 35, (2 0 8)
2θ = 67.88°, intensity 53, (3 0 0)
2θ = 68.14°, intensity 17, (1 0 16)
2θ = 72.65°, intensity 3, (3 0 6)

Cell and atoms:
```
data_Tm4Ir2Pd
_chemical_formula_sum 'Tm12 Ir6 Pd3'
_space_group_name_H-M_alt 'R -3 m'
_space_group_IT_number 166
_space_group_name_Hall '-R 3 2"'
_cell_length_a 4.7864
_cell_length_b 4.7864
_cell_length_c 23.3415
_cell_angle_alpha 90.00
_cell_angle_beta 90.00
_cell_angle_gamma 120.00
loop_
_atom_site_label
_atom_site_fract_x
_atom_site_fract_y
_atom_site_fract_z
_atom_site_occupancy
Tm1 0.0000 0.0000 0.1225 1
Tm2 0.0000 0.0000 0.3730 1
Ir1 0.0000 0.0000 0.2495 1
Pd1 0.0000 0.0000 0.5000 1
```